Computed powder X-ray diffraction pattern
Compound: Sn3Se
Radiation: Cu Kα, 1.54184 Å
Structure: a crystal structure in the Materials Project, relaxed with GGA-PBE

Structure:
Cell lengths 5.2795, 5.2795, 5.2795 Å; angles 60.00, 60.00, 60.00 degrees
Positions (direct):
Sn 0.0000 0.0000 0.0000
Sn 0.2500 0.2500 0.2500
Sn 0.7500 0.7500 0.7500
Se 0.5000 0.5000 0.5000

Main lines, low angle first (2θ = 5–70°):
2θ (°)  I_rel
20.60  2
23.84  1
33.96  100
40.05  1
48.79  18
53.50  1
55.00  1
60.77  39


Computed powder X-ray diffraction pattern
Compound: Ca12Be17O29
Radiation: Cu Kα, 1.54184 Å
Structure: a crystal structure in the Materials Project, relaxed with GGA-PBE

Structure:
Cell lengths 9.9614, 9.9614, 9.9614 Å; angles 60.00, 60.00, 60.00 degrees
Positions (direct):
Ca 0.0041 0.0041 0.4959
Ca 0.0041 0.4959 0.0041
Ca 0.0041 0.4959 0.4959
Ca 0.2066 0.2066 0.7934
Ca 0.2066 0.7934 0.2066
Ca 0.2066 0.7934 0.7934
Ca 0.4959 0.0041 0.0041
Ca 0.4959 0.0041 0.4959
Ca 0.4959 0.4959 0.0041
Ca 0.7934 0.2066 0.2066
Ca 0.7934 0.2066 0.7934
Ca 0.7934 0.7934 0.2066
Be 0.0000 0.0000 0.0000
Be 0.0277 0.6574 0.6574
Be 0.1378 0.1378 0.1378
Be 0.1378 0.1378 0.5866
Be 0.1378 0.5866 0.1378
Be 0.3413 0.3413 0.3413
Be 0.3413 0.3413 0.9762
Be 0.3413 0.9762 0.3413
Be 0.5223 0.8259 0.8259
Be 0.5866 0.1378 0.1378
Be 0.6574 0.0277 0.6574
Be 0.6574 0.6574 0.0277
Be 0.6574 0.6574 0.6574
Be 0.8259 0.5223 0.8259
Be 0.8259 0.8259 0.5223
Be 0.8259 0.8259 0.8259
Be 0.9762 0.3413 0.3413
O 0.0236 0.4779 0.7492
O 0.0236 0.7492 0.4779
O 0.0236 0.7492 0.7492
O 0.0691 0.0691 0.0691
O 0.0691 0.0691 0.7927
O 0.0691 0.7927 0.0691
O 0.2508 0.2508 0.5205
O 0.2508 0.2508 0.9780
O 0.2508 0.5205 0.2508
O 0.2508 0.5205 0.9780
O 0.2508 0.9780 0.2508
O 0.2508 0.9780 0.5205
O 0.4779 0.0236 0.7492
O 0.4779 0.7492 0.0236
O 0.4779 0.7492 0.7492
O 0.5205 0.2508 0.2508
O 0.5205 0.2508 0.9780
O 0.5205 0.9780 0.2508
O 0.7492 0.0236 0.4779
O 0.7492 0.0236 0.7492
O 0.7492 0.4779 0.0236
O 0.7492 0.4779 0.7492
O 0.7492 0.7492 0.0236
O 0.7492 0.7492 0.4779
O 0.7500 0.7500 0.7500
O 0.7927 0.0691 0.0691
O 0.9780 0.2508 0.2508
O 0.9780 0.2508 0.5205
O 0.9780 0.5205 0.2508

Main lines, low angle first (2θ = 5–70°):
2θ (°)  I_rel
10.88  100
12.57  34
17.81  32
25.29  44
31.10  30
36.07  54
38.34  52
44.56  76
51.93  30
55.34  30


Computed powder X-ray diffraction pattern
Compound: MnFe4
Radiation: Cu Kα, 1.54184 Å
Structure: a crystal structure in the Materials Project, relaxed with GGA-PBE

Structure:
Cell lengths 10.2351, 10.1364, 2.4427 Å; angles 85.42, 80.82, 13.76 degrees
Positions (direct):
Mn 0.0000 0.0000 0.0000
Fe 0.1997 0.1997 0.8003
Fe 0.4007 0.4007 0.5993
Fe 0.5993 0.5993 0.4007
Fe 0.8003 0.8003 0.1997

Main lines, low angle first (2θ = 5–70°):
2θ (°)  I_rel
45.16  20
45.44  100
65.98  12
66.48  6


Computed powder X-ray diffraction pattern
Compound: Bi2B3O9
Radiation: Cu Kα, 1.54184 Å
Structure: a crystal structure in the Materials Project, relaxed with GGA-PBE

Structure:
Cell lengths 6.2973, 6.2973, 9.2635 Å; angles 90.00, 90.00, 120.00 degrees
Positions (direct):
Bi 0.3333 0.6667 0.0083
Bi 0.3333 0.6667 0.4917
Bi 0.6667 0.3333 0.5083
Bi 0.6667 0.3333 0.9917
B 0.0059 0.7716 0.7500
B 0.2284 0.2342 0.7500
B 0.2342 0.0059 0.2500
B 0.7658 0.9941 0.7500
B 0.7716 0.7658 0.2500
B 0.9941 0.2284 0.2500
O 0.0062 0.6361 0.6147
O 0.0062 0.6361 0.8853
O 0.0129 0.7818 0.2500
O 0.2182 0.2311 0.2500
O 0.2311 0.0129 0.7500
O 0.3639 0.3701 0.6147
O 0.3639 0.3701 0.8853
O 0.3701 0.0062 0.1147
O 0.3701 0.0062 0.3853
O 0.6299 0.9938 0.6147
O 0.6299 0.9938 0.8853
O 0.6361 0.6299 0.1147
O 0.6361 0.6299 0.3853
O 0.7689 0.9871 0.2500
O 0.7818 0.7689 0.7500
O 0.9871 0.2182 0.7500
O 0.9938 0.3639 0.1147
O 0.9938 0.3639 0.3853

Main lines, low angle first (2θ = 5–70°):
2θ (°)  I_rel
16.25  56
19.16  44
25.23  72
28.34  55
34.44  100
43.93  16
48.82  40
50.18  24
54.20  28
62.29  19


Computed powder X-ray diffraction pattern
Compound: V4N3
Radiation: Cu Kα, 1.54184 Å
Structure: a crystal structure in the Materials Project, relaxed with GGA-PBE

Structure:
Cell lengths 9.3193, 9.3193, 9.3193 Å; angles 18.09, 18.09, 18.09 degrees
Positions (direct):
V 0.1213 0.1213 0.1213
V 0.3762 0.3762 0.3762
V 0.6238 0.6238 0.6238
V 0.8787 0.8787 0.8787
N 0.2548 0.2548 0.2548
N 0.5000 0.5000 0.5000
N 0.7452 0.7452 0.7452

Main lines, low angle first (2θ = 5–70°):
2θ (°)  I_rel
9.65  2
19.37  6
37.78  76
39.09  1
39.33  22
44.37  100
56.65  1
59.52  2
63.48  30
65.61  25


What did the fourth record say?
Computed powder X-ray diffraction pattern
Compound: Bi2B3O9
Radiation: Cu Kα, 1.54184 Å
Structure: a crystal structure in the Materials Project, relaxed with GGA-PBE

Structure:
Cell lengths 6.2973, 6.2973, 9.2635 Å; angles 90.00, 90.00, 120.00 degrees
Positions (direct):
Bi 0.3333 0.6667 0.0083
Bi 0.3333 0.6667 0.4917
Bi 0.6667 0.3333 0.5083
Bi 0.6667 0.3333 0.9917
B 0.0059 0.7716 0.7500
B 0.2284 0.2342 0.7500
B 0.2342 0.0059 0.2500
B 0.7658 0.9941 0.7500
B 0.7716 0.7658 0.2500
B 0.9941 0.2284 0.2500
O 0.0062 0.6361 0.6147
O 0.0062 0.6361 0.8853
O 0.0129 0.7818 0.2500
O 0.2182 0.2311 0.2500
O 0.2311 0.0129 0.7500
O 0.3639 0.3701 0.6147
O 0.3639 0.3701 0.8853
O 0.3701 0.0062 0.1147
O 0.3701 0.0062 0.3853
O 0.6299 0.9938 0.6147
O 0.6299 0.9938 0.8853
O 0.6361 0.6299 0.1147
O 0.6361 0.6299 0.3853
O 0.7689 0.9871 0.2500
O 0.7818 0.7689 0.7500
O 0.9871 0.2182 0.7500
O 0.9938 0.3639 0.1147
O 0.9938 0.3639 0.3853

Main lines, low angle first (2θ = 5–70°):
2θ (°)  I_rel
16.25  56
19.16  44
25.23  72
28.34  55
34.44  100
43.93  16
48.82  40
50.18  24
54.20  28
62.29  19